# 1
Computed X-ray powder pattern of HfMg14BO15 for λ = 1.5418 Å (Cu Kα), from a cell relaxed with GGA-PBE.
Intensities are scaled so that the largest is 100.

Lattice parameters (Å, degrees): 4.268 8.771 8.667 90.00 90.00 90.00
Space group Pmm2 (No. 25)
Unique sites:
Hf: 0.000 0.000 0.000 (multiplicity 1)
Mg: 0.000 0.000 0.474 (multiplicity 1)
Mg: 0.000 0.237 0.722 (multiplicity 2)
Mg: 0.000 0.269 0.246 (multiplicity 2)
Mg: 0.000 0.500 0.978 (multiplicity 1)
Mg: 0.500 0.000 0.241 (multiplicity 1)
Mg: 0.500 0.000 0.721 (multiplicity 1)
Mg: 0.500 0.255 0.481 (multiplicity 2)
Mg: 0.500 0.264 0.982 (multiplicity 2)
Mg: 0.500 0.500 0.250 (multiplicity 1)
Mg: 0.500 0.500 0.722 (multiplicity 1)
B: 0.000 0.500 0.537 (multiplicity 1)
O: 0.000 0.000 0.735 (multiplicity 1)
O: 0.000 0.230 0.485 (multiplicity 2)
O: 0.000 0.253 0.963 (multiplicity 2)
O: 0.000 0.500 0.202 (multiplicity 1)
O: 0.000 0.500 0.699 (multiplicity 1)
O: 0.500 0.000 0.481 (multiplicity 1)
O: 0.500 0.000 0.980 (multiplicity 1)
O: 0.500 0.249 0.729 (multiplicity 2)
O: 0.500 0.264 0.233 (multiplicity 2)
O: 0.500 0.500 0.492 (multiplicity 1)
O: 0.500 0.500 0.957 (multiplicity 1)

Main lines, in order of falling intensity (10° ≤ 2θ ≤ 90°):
2theta	I_rel
10.21	100
41.17	98
42.35	94
10.08	90
35.94	88
41.68	87

***

# 2
Computed X-ray powder pattern of K2NaGaF6 for λ = 1.5418 Å (Cu Kα), from a cell relaxed with GGA-PBE.
Intensities are scaled so that the largest is 100.

Lattice parameters (Å, degrees): 8.405 8.405 8.405 90.00 90.00 90.00
Space group Fm-3m (No. 225)
Unique sites:
K: 0.250 0.250 0.250 (multiplicity 8)
Na: 0.000 0.000 0.000 (multiplicity 4)
Ga: 0.000 0.000 0.500 (multiplicity 4)
F: 0.000 0.000 0.271 (multiplicity 24)

Main lines, in order of falling intensity (10° ≤ 2θ ≤ 90°):
2theta	I_rel
30.07	100
43.05	73
18.28	47
62.51	39
53.41	35
21.14	19

***

# 3
Computed X-ray powder pattern of VFeCoAs for λ = 1.5418 Å (Cu Kα), from a cell relaxed with GGA-PBE.
Intensities are scaled so that the largest is 100.

Lattice parameters (Å, degrees): 5.778 5.778 5.778 90.00 90.00 90.00
Space group F-43m (No. 216)
Unique sites:
V: 0.000 0.000 0.000 (multiplicity 4)
Fe: 0.250 0.250 0.250 (multiplicity 4)
Co: 0.250 0.250 0.750 (multiplicity 4)
As: 0.000 0.000 0.500 (multiplicity 4)

Main lines, in order of falling intensity (10° ≤ 2θ ≤ 90°):
2theta	I_rel
44.35	100
81.64	30
64.52	15
26.73	3
52.53	2
71.13	1

***

# 4
Computed X-ray powder pattern of NaIO4 for λ = 1.5418 Å (Cu Kα), from a cell relaxed with GGA-PBE.
Intensities are scaled so that the largest is 100.

Lattice parameters (Å, degrees): 5.497 5.525 7.286 112.01 111.81 90.49
Space group P1 (No. 1)
Unique sites:
Na: 0.000 0.000 0.000 (multiplicity 1)
Na: 0.246 0.757 0.498 (multiplicity 1)
I: 0.456 0.462 0.915 (multiplicity 1)
I: 0.709 0.219 0.417 (multiplicity 1)
O: 0.161 0.182 0.807 (multiplicity 1)
O: 0.197 0.627 0.771 (multiplicity 1)
O: 0.397 0.961 0.273 (multiplicity 1)
O: 0.433 0.404 0.306 (multiplicity 1)
O: 0.570 0.148 0.777 (multiplicity 1)
O: 0.642 0.623 0.800 (multiplicity 1)
O: 0.877 0.925 0.305 (multiplicity 1)
O: 0.883 0.332 0.274 (multiplicity 1)

Main lines, in order of falling intensity (10° ≤ 2θ ≤ 90°):
2theta	I_rel
26.98	100
17.60	81
27.13	77
43.99	30
17.68	27
28.90	27

***

- Which formula does entry 2 have?
  K2NaGaF6